1.
Calculated powder X-ray diffraction pattern of Ni4PtRh2 for Cu Kα X-rays, from a crystal structure in Alexandria, relaxed with GGA-PBE.

Main lines, in order of rising 2θ (2θ from 10° to 90°):
| hkl | two_theta | intensity |
| --- | --- | --- |
| 1 0 1 | 22.50 | 63 |
| 2 1 1 | 37.52 | 84 |
| 1 1 2 | 40.45 | 48 |
| 2 2 0 | 42.40 | 93 |
| 2 0 2 | 45.93 | 100 |
| 3 0 1 | 48.52 | 43 |
| 4 0 0 | 61.52 | 23 |
| 4 2 2 | 80.07 | 23 |

Structure:
Cell lengths 6.030, 6.030, 5.233 Å; angles 90.00, 90.00, 90.00 degrees
Space group I4mm (No. 107)
Unique sites:
Ni  0.206  0.206  0.000
Pt  0.000  0.000  0.631
Rh  0.000  0.500  0.247

***

2.
Calculated powder X-ray diffraction pattern of Pr12SmCd3 for Cu Kα X-rays, from a crystal structure in Alexandria, relaxed with GGA-PBE.

Main lines, in order of rising 2θ (2θ from 10° to 90°):
| hkl | two_theta | intensity |
| --- | --- | --- |
| 1 1 4 | 30.50 | 100 |
| 0 0 8 | 35.05 | 17 |
| 2 0 0 | 35.52 | 34 |
| 2 0 8 | 50.76 | 23 |
| 2 2 0 | 51.12 | 12 |
| 1 1 12 | 60.07 | 13 |
| 3 1 4 | 60.70 | 28 |
| 2 2 8 | 63.49 | 12 |

Structure:
Cell lengths 5.054, 5.054, 20.483 Å; angles 90.00, 90.00, 90.00 degrees
Space group P4/mmm (No. 123)
Unique sites:
Pr  0.000  0.000  0.000
Pr  0.000  0.000  0.246
Pr  0.000  0.000  0.500
Pr  0.000  0.500  0.122
Pr  0.000  0.500  0.369
Sm  0.500  0.500  0.500
Cd  0.500  0.500  0.000
Cd  0.500  0.500  0.243